# Tb3AsS2
Calculated PXRD pattern, a wavelength of 1.5418 Å. Input: a DFT-relaxed cell (GGA-PBE, OQMD).
Intensities are scaled so that the largest is 100.

Atomic structure:
```
data_Tb3AsS2
_cell_length_a 4.0078
_cell_length_b 4.0078
_cell_length_c 9.7463
_cell_angle_alpha 90.00
_cell_angle_beta 90.00
_cell_angle_gamma 120.00
_symmetry_space_group_name_H-M 'P -3 m 1'
_symmetry_Int_Tables_number 164
_symmetry_space_group_name_Hall '-P 3 2"'
loop_
_atom_site_label
_atom_site_type_symbol
_atom_site_fract_x
_atom_site_fract_y
_atom_site_fract_z
Tb1 Tb 0.0000 0.0000 0.0000
Tb2 Tb 0.3333 0.6667 0.3284
As1 As 0.0000 0.0000 0.5000
S1 S 0.3333 0.6667 0.8380
```

Main lines, low angle first (2θ from 5° to 70°):
(0 1 1), 27.27 deg, rel. 41; (0 0 3), 27.45 deg, rel. 13; (1 0 2), 31.65 deg, rel. 100; (1 1 0), 45.25 deg, rel. 37; (0 1 4), 45.48 deg, rel. 36; (2 0 1), 53.64 deg, rel. 7; (1 1 3), 53.74 deg, rel. 13; (1 0 5), 53.95 deg, rel. 6; (0 2 2), 56.27 deg, rel. 19; (2 0 4), 66.10 deg, rel. 12